# 1
Computed powder diffractogram
Compound: Zn2Te3O8
Radiation: CuKα
Structure: a DFT-relaxed cell (GGA-PBE, OQMD)
Peak positions follow from Bragg's law for the DFT cell and can differ from measured ones.

Structure:
abc: 12.535 5.194 11.708
angles: 90.00 99.52 90.00
Space group C2/c (No. 15)
One atom of each set of equivalent atoms:
Zn: 0.230 0.210 0.345 x8
Te: 0.000 0.155 0.750 x4
Te: 0.133 0.200 0.050 x8
O: 0.081 0.075 0.358 x8
O: 0.112 0.122 0.636 x8
O: 0.191 0.380 0.189 x8
O: 0.233 0.482 0.964 x8

Largest 12 diffraction maxima, by angle, 10° ≤ 2θ ≤ 80°:
(hkl)	two_theta	intensity
1 1 0	18.5	41.8
1 1 -1	19.6	20.1
2 0 2	22.7	28.9
3 1 -1	27.7	90.7
4 0 -2	30.5	25.9
1 1 3	30.7	100.0
2 0 -4	32.0	34.6
0 2 0	34.5	16.7
4 0 2	35.1	17.8
5 1 1	42.4	17.4
2 2 -4	47.8	17.8
1 1 -7	57.9	28.1

=====

# 2
Computed powder diffractogram
Compound: NaTlPtPb
Radiation: CuKα
Structure: a DFT-relaxed cell (GGA-PBE, OQMD)
Peak positions follow from Bragg's law for the DFT cell and can differ from measured ones.

Structure:
abc: 4.386 8.198 5.970
angles: 90.00 111.42 90.00
Space group Pm (No. 6)
One atom of each set of equivalent atoms:
Na: 0.000 0.000 0.000 x1
Na: 0.136 0.500 0.269 x1
Tl: 0.706 0.203 0.408 x2
Pt: 0.286 0.000 0.568 x1
Pt: 0.853 0.500 0.707 x1
Pb: 0.421 0.296 0.843 x2

Largest 12 diffraction maxima, by angle, 10° ≤ 2θ ≤ 80°:
(hkl)	two_theta	intensity
0 0 1	15.9	74.1
0 1 1	19.3	52.3
1 0 0	21.7	32.0
1 0 -1	21.8	23.4
1 2 -1	30.9	83.1
1 0 1	31.6	31.9
1 1 1	33.5	45.8
0 3 1	36.6	20.1
1 2 1	38.7	100.0
0 2 2	39.2	53.1
1 3 0	39.7	96.9
2 0 -1	41.2	48.4

=====

# 3
Computed powder diffractogram
Compound: Dy2Er3Tm2Ni2Te2
Radiation: CuKα
Structure: a DFT-relaxed cell (GGA-PBE, OQMD)
Peak positions follow from Bragg's law for the DFT cell and can differ from measured ones.

Structure:
abc: 3.825 15.477 9.479
angles: 90.00 90.00 90.00
Space group Imm2 (No. 44)
One atom of each set of equivalent atoms:
Dy: 0.000 0.133 0.000 x4
Er: 0.000 0.000 0.417 x2
Er: 0.000 0.315 0.796 x4
Tm: 0.000 0.354 0.147 x4
Ni: 0.000 0.237 0.489 x4
Te: 0.000 0.000 0.754 x2
Te: 0.000 0.500 0.652 x2

Largest 12 diffraction maxima, by angle, 10° ≤ 2θ ≤ 80°:
(hkl)	two_theta	intensity
1 3 0	29.1	23.7
0 5 1	30.4	22.2
1 1 2	30.6	51.4
0 3 3	33.3	79.5
1 4 1	34.3	100.0
0 6 0	34.8	73.5
1 0 3	36.9	22.8
1 2 3	38.8	19.0
2 0 0	47.5	29.7
1 7 2	51.5	18.0
2 3 3	59.2	30.6
1 10 1	65.8	17.4